Theoretical powder diffractogram
Compound: Pr2Nd3Zn3
Radiation: Cu Kα, 1.54184 Å
Structure: a crystal structure in Alexandria, relaxed with GGA-PBE
Intensities are scaled so that the largest is 100.

The 12 most intense peaks (10 to 80 degrees two-theta), in order of rising 2θ:
Position (°2θ)  I/Imax
24.01  9
26.06  18
32.20  18
33.30  100
33.53  28
43.85  7
47.17  13
48.44  10
59.80  19
60.20  10
66.22  7
69.93  8

Atomic structure:
```
Pr2Nd3Zn3
1.0
-1.8791 2.6723 11.1205
1.8791 -2.6723 11.1205
1.8791 2.6723 -11.1205
Pr Nd Zn
2 3 3
Direct
0.2280 0.2280 0.0000 Pr
0.7720 0.7720 0.0000 Pr
0.0000 0.0000 0.0000 Nd
0.3847 0.8847 0.5000 Nd
0.6153 0.1153 0.5000 Nd
0.1137 0.6137 0.5000 Zn
0.5000 0.5000 0.0000 Zn
0.8863 0.3863 0.5000 Zn
```